For Li4ErAsO6, a DFT-relaxed cell (GGA-PBE, OQMD) gives the computed X-ray diffraction stick pattern in this record (Cu Ka).
No peak broadening, texture or thermal motion is included.

Structure:
Cell: 5.247 9.299 5.090 Å, 90.00 108.57 90.00°
Space group C2 (No. 5)
One atom of each set of equivalent atoms:
Li: 0.000 0.000 0.000
Li: 0.000 0.145 0.500
Li: 0.000 0.334 0.000
Li: 0.000 0.614 0.000
Er: 0.000 0.810 0.500
As: 0.000 0.480 0.500
O: 0.212 0.337 0.732
O: 0.219 0.623 0.731
O: 0.224 0.482 0.277

Largest 10 diffraction maxima, low angle first, 2θ = 10–80°:
2θ (°), d_spacing, I (rel.), h k l
18.39, 4.825, 1000, 0 0 1
19.09, 4.649, 263, 0 2 0
20.25, 4.386, 500, 1 1 0
23.26, 3.823, 371, 1 1 -1
26.62, 3.348, 251, 0 2 1
34.08, 2.631, 364, 1 3 0
34.93, 2.568, 188, 2 0 -1
36.06, 2.491, 267, 2 0 0
41.79, 2.162, 485, 1 3 1
43.15, 2.096, 298, 2 0 -2